Starting from a GGA+U-relaxed structure, the powder XRD pattern of CaV4Ag2O12 was computed for λ = 1.5418 Å (Cu Kα).
Peak positions follow from Bragg's law for the DFT cell and can differ from measured ones.

Crystal structure
Cell lengths 10.5176, 10.5176, 5.0793 Å; angles 90.00, 90.00, 90.00 degrees
Fractional coordinates of all 38 atoms:
Ca 0.2500 0.2500 0.0000
Ca 0.7500 0.7500 0.0000
V 0.0263 0.7500 0.5000
V 0.2500 0.5263 0.5000
V 0.2500 0.9737 0.5000
V 0.4737 0.7500 0.5000
V 0.5263 0.2500 0.5000
V 0.7500 0.0263 0.5000
V 0.7500 0.4737 0.5000
V 0.9737 0.2500 0.5000
Ag 0.0000 0.0000 0.0000
Ag 0.0000 0.5000 0.0000
Ag 0.5000 0.0000 0.0000
Ag 0.5000 0.5000 0.0000
O 0.0610 0.1817 0.2585
O 0.0610 0.3183 0.7415
O 0.1294 0.6294 0.6448
O 0.1294 0.8706 0.3552
O 0.1817 0.0610 0.7415
O 0.1817 0.4390 0.2585
O 0.3183 0.0610 0.2585
O 0.3183 0.4390 0.7415
O 0.3706 0.6294 0.3552
O 0.3706 0.8706 0.6448
O 0.4390 0.1817 0.7415
O 0.4390 0.3183 0.2585
O 0.5610 0.6817 0.7415
O 0.5610 0.8183 0.2585
O 0.6294 0.1294 0.3552
O 0.6294 0.3706 0.6448
O 0.6817 0.5610 0.2585
O 0.6817 0.9390 0.7415
O 0.8183 0.5610 0.7415
O 0.8183 0.9390 0.2585
O 0.8706 0.1294 0.6448
O 0.8706 0.3706 0.3552
O 0.9390 0.6817 0.2585
O 0.9390 0.8183 0.7415

Most intense lines, 2θ = 15–90°, in order of falling intensity:
two_theta, Rel. int.
29.8, 100
16.9, 29
24.4, 28
34.1, 23
49.9, 22
58.4, 21
49.0, 13
60.0, 11
21.2, 11
42.4, 10